Record 1
Starting from DFT lattice parameters and positions (PBE), the XRD peak list of Pr9Y2Er3 was calculated for Cu Kα (λ = 1.5418 Å).
Intensities are scaled so that the largest is 100.

Main lines, by intensity (15 to 90 degrees two-theta):
- 32.65 deg, I 100, hkl 2 1 2
- 30.72 deg, I 71, hkl 2 1 1
- 29.53 deg, I 42, hkl 2 0 3
- 25.08 deg, I 33, hkl 0 0 4
- 35.66 deg, I 31, hkl 2 1 3
- 53.36 deg, I 29, hkl 1 4 0

Cell and atoms:
a b c (Å): 9.0845 9.0845 14.2003
angles (deg): 90.00 90.00 120.00
Space group P6_3/m (No. 176)
Inequivalent atoms, fractional coordinates:
Pr 0.0788 0.4822 0.2500
Pr 0.1323 0.7284 0.0427
Y 0.3333 0.6667 0.6423
Er 0.0767 0.2484 0.7500

Record 2
Starting from DFT lattice parameters and positions (PBE), the XRD peak list of PrEr4Zn was calculated for Cu Kα (λ = 1.5418 Å).
Intensities are scaled so that the largest is 100.

Main lines, by intensity (15 to 90 degrees two-theta):
- 31.94 deg, I 100, hkl 1 0 3
- 35.73 deg, I 49, hkl 1 1 0
- 61.83 deg, I 30, hkl 2 1 3
- 28.31 deg, I 21, hkl 1 0 2
- 60.05 deg, I 18, hkl 1 0 8
- 49.25 deg, I 18, hkl 1 1 5

Cell and atoms:
a b c (Å): 3.553 3.553 13.673
angles (deg): 90.00 90.00 90.00
Space group P4/mmm (No. 123)
Inequivalent atoms, fractional coordinates:
Pr 0.000 0.000 0.000
Er 0.000 0.000 0.372
Er 0.500 0.500 0.188
Zn 0.500 0.500 0.500

Record 3
Starting from DFT lattice parameters and positions (PBE), the XRD peak list of PrEr3Zn8 was calculated for Cu Kα (λ = 1.5418 Å).
Intensities are scaled so that the largest is 100.

Main lines, by intensity (15 to 90 degrees two-theta):
- 38.48 deg, I 100, hkl 1 1 2
- 36.16 deg, I 78, hkl 0 1 3
- 32.27 deg, I 57, hkl 1 1 0
- 38.88 deg, I 54, hkl 0 2 1
- 60.10 deg, I 34, hkl 2 1 3
- 66.30 deg, I 27, hkl 0 2 5

Cell and atoms:
a b c (Å): 5.5490 5.5490 8.7047
angles (deg): 90.00 90.00 120.00
Space group P3m1 (No. 156)
Inequivalent atoms, fractional coordinates:
Pr 0.0000 0.0000 0.0000
Er 0.0000 0.0000 0.3859
Er 0.6667 0.3333 0.5068
Er 0.6667 0.3333 0.8889
Zn 0.1659 0.3317 0.6889
Zn 0.3333 0.6667 0.4437
Zn 0.3333 0.6667 0.9461
Zn 0.5027 0.0055 0.1991

Record 4
Starting from DFT lattice parameters and positions (PBE), the XRD peak list of Pr2Er2Zn3 was calculated for Cu Kα (λ = 1.5418 Å).
Intensities are scaled so that the largest is 100.

Main lines, by intensity (15 to 90 degrees two-theta):
- 35.26 deg, I 100, hkl 2 0 2
- 35.73 deg, I 98, hkl 0 2 0
- 24.89 deg, I 58, hkl 1 1 1
- 63.84 deg, I 23, hkl 5 1 1
- 51.00 deg, I 23, hkl 2 2 2
- 44.04 deg, I 13, hkl 4 0 0

Cell and atoms:
a b c (Å): 8.691 5.035 8.848
angles (deg): 90.00 108.95 90.00
Space group C2/m (No. 12)
Inequivalent atoms, fractional coordinates:
Pr 0.126 0.000 0.378
Er 0.125 0.500 0.876
Zn 0.000 0.000 0.000
Zn 0.244 0.500 0.232

Record 5
Starting from DFT lattice parameters and positions (PBE), the XRD peak list of Pr4Er5Zn was calculated for Cu Kα (λ = 1.5418 Å).
Intensities are scaled so that the largest is 100.

Main lines, by intensity (15 to 90 degrees two-theta):
- 31.06 deg, I 100, hkl 1 0 5
- 35.26 deg, I 48, hkl 1 1 0
- 60.68 deg, I 30, hkl 2 1 5
- 28.93 deg, I 20, hkl 1 0 4
- 49.51 deg, I 19, hkl 1 1 9
- 50.73 deg, I 17, hkl 2 0 0

Cell and atoms:
a b c (Å): 3.599 3.599 24.002
angles (deg): 90.00 90.00 90.00
Space group P4/mmm (No. 123)
Inequivalent atoms, fractional coordinates:
Pr 0.000 0.000 0.106
Pr 0.000 0.000 0.319
Er 0.500 0.500 0.000
Er 0.500 0.500 0.213
Er 0.500 0.500 0.428
Zn 0.000 0.000 0.500

Record 6
Starting from DFT lattice parameters and positions (PBE), the XRD peak list of PrEr3Zn4 was calculated for Cu Kα (λ = 1.5418 Å).
Intensities are scaled so that the largest is 100.

Main lines, by intensity (15 to 90 degrees two-theta):
- 35.35 deg, I 100, hkl 1 1 2
- 35.63 deg, I 49, hkl 2 0 0
- 63.82 deg, I 35, hkl 3 1 2
- 24.99 deg, I 18, hkl 1 1 0
- 63.28 deg, I 18, hkl 2 0 4
- 51.27 deg, I 17, hkl 2 2 0

Cell and atoms:
a b c (Å): 5.040 5.040 7.236
angles (deg): 90.00 90.00 90.00
Space group P4/mmm (No. 123)
Inequivalent atoms, fractional coordinates:
Pr 0.000 0.000 0.000
Er 0.000 0.000 0.500
Er 0.500 0.500 0.000
Er 0.500 0.500 0.500
Zn 0.000 0.500 0.264

Record 7
Starting from DFT lattice parameters and positions (PBE), the XRD peak list of PrEr2Zr was calculated for Cu Kα (λ = 1.5418 Å).
Intensities are scaled so that the largest is 100.

Main lines, by intensity (15 to 90 degrees two-theta):
- 32.58 deg, I 100, hkl 0 1 5
- 31.58 deg, I 64, hkl 0 0 12
- 35.12 deg, I 57, hkl 1 0 7
- 52.76 deg, I 44, hkl 1 1 0
- 62.80 deg, I 39, hkl 1 1 12
- 55.18 deg, I 23, hkl 0 1 17

Cell and atoms:
a b c (Å): 3.4702 3.4702 33.9904
angles (deg): 90.00 90.00 120.00
Space group R3m (No. 160, hexagonal axes)
Inequivalent atoms, fractional coordinates:
Pr 0.0000 0.0000 0.0000
Er 0.0000 0.0000 0.5761
Er 0.0000 0.0000 0.7562
Zr 0.0000 0.0000 0.1661

Record 8
Starting from DFT lattice parameters and positions (PBE), the XRD peak list of Er7Pt3 was calculated for Cu Kα (λ = 1.5418 Å).
Intensities are scaled so that the largest is 100.

Main lines, by intensity (15 to 90 degrees two-theta):
- 31.39 deg, I 100, hkl 2 1 1
- 34.86 deg, I 75, hkl 3 0 1
- 35.73 deg, I 63, hkl 2 0 2
- 36.73 deg, I 59, hkl 2 2 0
- 30.52 deg, I 41, hkl 1 0 2
- 40.35 deg, I 28, hkl 2 1 2

Cell and atoms:
a b c (Å): 9.7871 9.7871 6.2422
angles (deg): 90.00 90.00 120.00
Space group P6_3mc (No. 186)
Inequivalent atoms, fractional coordinates:
Er 0.0795 0.5398 0.0001
Er 0.1266 0.2532 0.3097
Er 0.3333 0.6667 0.5000
Pt 0.1900 0.3800 0.7366